Calculated powder XRD pattern of AcGeHPt6 for Cu Kα (λ = 1.5418 Å), from a GGA-PBE-relaxed structure.
Lines closer than 0.1° are merged.

Principal peaks in the range 5 to 70 degrees two-theta, by angle:
2θ 26.70, rel. 24; 2θ 31.78, rel. 27; 2θ 33.24, rel. 100; 2θ 35.10, rel. 39; 2θ 35.99, rel. 25; 2θ 39.23, rel. 21; 2θ 44.18, rel. 27; 2θ 45.71, rel. 29; 2θ 46.65, rel. 42; 2θ 48.84, rel. 15

Crystal structure
Unit cell a=7.807 b=7.807 c=7.807 alpha=123.88 beta=118.88 gamma=87.68
Fractional coordinates of all 18 atoms:
Ac: 0.424 0.174 0.250
Ac: 0.576 0.826 0.750
Ge: 0.000 0.000 0.500
Ge: 0.000 0.500 0.000
H: 0.000 0.500 0.500
H: 0.500 0.500 0.000
Pt: 0.105 0.411 0.277
Pt: 0.105 0.828 0.694
Pt: 0.144 0.894 0.250
Pt: 0.290 0.540 0.750
Pt: 0.366 0.172 0.777
Pt: 0.366 0.589 0.194
Pt: 0.634 0.411 0.806
Pt: 0.634 0.828 0.223
Pt: 0.710 0.460 0.250
Pt: 0.856 0.106 0.750
Pt: 0.895 0.172 0.306
Pt: 0.895 0.589 0.723